No. 1
For MgV4P4O20, a DFT-relaxed cell (GGA+U, the Materials Project) gives the simulated powder XRD pattern in this record (Cu Kα).
Lines closer than 0.1° are merged.

The 10 most intense peaks (2θ = 10–80°), most intense first:
Position (°2θ)	I/Imax
27.18	100
28.21	68
26.71	60
27.55	54
27.40	44
18.29	33
19.77	33
32.09	32
18.50	30
57.00	29

Structure:
a b c (Å): 5.177 7.421 10.232
angles (deg): 70.33 78.60 69.84
Fractional coordinates of all 29 atoms:
Mg 0.000 0.000 0.000
V 0.243 0.537 0.192
V 0.274 0.323 0.934
V 0.309 0.080 0.671
V 0.794 0.798 0.441
P 0.574 0.865 0.150
P 0.664 0.382 0.644
P 0.886 0.249 0.247
P 0.914 0.782 0.751
O 0.055 0.647 0.368
O 0.081 0.899 0.784
O 0.100 0.312 0.294
O 0.201 0.172 0.856
O 0.335 0.475 0.040
O 0.341 0.804 0.119
O 0.419 0.987 0.538
O 0.489 0.285 0.598
O 0.538 0.860 0.305
O 0.569 0.078 0.049
O 0.588 0.368 0.799
O 0.602 0.404 0.260
O 0.604 0.894 0.782
O 0.614 0.603 0.555
O 0.873 0.740 0.113
O 0.874 0.040 0.347
O 0.965 0.781 0.597
O 0.972 0.271 0.614
O 0.981 0.226 0.098
O 0.988 0.569 0.848

---

No. 2
For NaEuCo4O12, a DFT-relaxed cell (GGA+U, the Materials Project) gives the simulated powder XRD pattern in this record (Cu Kα).
Lines closer than 0.1° are merged.

The 10 most intense peaks (2θ = 10–80°), most intense first:
Position (°2θ)	I/Imax
20.68	100
34.32	60
34.20	59
33.72	55
16.97	43
11.73	38
48.26	27
48.61	27
61.70	27
60.55	25

Structure:
a b c (Å): 7.544 5.228 5.228
angles (deg): 88.46 90.00 90.00
Fractional coordinates of all 18 atoms:
Na 0.000 0.000 0.000
Eu 0.500 0.475 0.475
Co 0.242 0.488 0.985
Co 0.242 0.985 0.488
Co 0.758 0.488 0.985
Co 0.758 0.985 0.488
O 0.000 0.017 0.449
O 0.000 0.449 0.017
O 0.214 0.774 0.774
O 0.256 0.281 0.695
O 0.256 0.695 0.281
O 0.291 0.210 0.210
O 0.500 0.524 0.947
O 0.500 0.947 0.524
O 0.709 0.210 0.210
O 0.744 0.281 0.695
O 0.744 0.695 0.281
O 0.786 0.774 0.774

---

No. 3
For VH6SO10, a DFT-relaxed cell (GGA+U, the Materials Project) gives the simulated powder XRD pattern in this record (Cu Kα).
Lines closer than 0.1° are merged.

The 10 most intense peaks (2θ = 10–80°), most intense first:
Position (°2θ)	I/Imax
12.21	100
20.06	78
27.72	33
29.32	31
29.05	27
15.40	26
12.76	26
23.41	24
24.73	20
36.17	20

Structure:
a b c (Å): 7.469 7.684 7.905
angles (deg): 79.39 75.41 71.66
Fractional coordinates of all 36 atoms:
V 0.218 0.136 0.313
V 0.782 0.864 0.687
H 0.051 0.547 0.224
H 0.112 0.553 0.683
H 0.285 0.117 0.947
H 0.384 0.259 0.989
H 0.415 0.395 0.449
H 0.464 0.853 0.699
H 0.536 0.147 0.301
H 0.585 0.605 0.551
H 0.616 0.741 0.011
H 0.715 0.883 0.053
H 0.888 0.447 0.317
H 0.949 0.453 0.776
S 0.068 0.081 0.737
S 0.932 0.919 0.263
O 0.014 0.906 0.749
O 0.024 0.426 0.260
O 0.073 0.787 0.151
O 0.074 0.175 0.547
O 0.263 0.030 0.774
O 0.312 0.169 0.041
O 0.329 0.921 0.344
O 0.406 0.238 0.319
O 0.408 0.478 0.535
O 0.489 0.544 0.062
O 0.511 0.456 0.938
O 0.592 0.522 0.465
O 0.594 0.762 0.681
O 0.671 0.079 0.656
O 0.688 0.831 0.959
O 0.737 0.970 0.226
O 0.926 0.825 0.453
O 0.927 0.213 0.849
O 0.976 0.574 0.740
O 0.986 0.094 0.251

---

No. 4
For LiV3OF11, a DFT-relaxed cell (GGA+U, the Materials Project) gives the simulated powder XRD pattern in this record (Cu Kα).
Lines closer than 0.1° are merged.

The 10 most intense peaks (2θ = 10–80°), most intense first:
Position (°2θ)	I/Imax
14.82	100
23.40	49
23.63	45
27.55	26
31.86	21
19.06	18
28.92	17
18.54	15
46.60	14
48.68	13

Structure:
a b c (Å): 5.511 6.002 7.022
angles (deg): 93.06 103.24 93.26
Fractional coordinates of all 16 atoms:
Li 0.000 0.000 0.000
V 0.101 0.290 0.607
V 0.307 0.588 0.315
V 0.675 0.445 0.933
O 0.357 0.436 0.788
F 0.053 0.580 0.463
F 0.062 0.428 0.102
F 0.127 0.044 0.763
F 0.221 0.847 0.191
F 0.352 0.299 0.424
F 0.528 0.740 0.504
F 0.563 0.528 0.170
F 0.683 0.154 0.990
F 0.782 0.730 0.919
F 0.811 0.365 0.708
F 0.909 0.128 0.401

---

No. 5
For Li3FeO4, a DFT-relaxed cell (GGA+U, the Materials Project) gives the simulated powder XRD pattern in this record (Cu Kα).
Lines closer than 0.1° are merged.

The 10 most intense peaks (2θ = 10–80°), most intense first:
Position (°2θ)	I/Imax
24.09	100
44.37	42
20.50	31
51.12	21
41.69	20
30.97	20
62.52	19
57.80	14
64.55	12
75.66	11

Structure:
a b c (Å): 5.770 5.207 5.207
angles (deg): 67.40 90.00 90.00
Fractional coordinates of all 16 atoms:
Li 0.000 0.000 0.000
Li 0.241 0.964 0.473
Li 0.259 0.464 0.973
Li 0.500 0.500 0.500
Li 0.741 0.973 0.464
Li 0.759 0.473 0.964
Fe 0.000 0.457 0.457
Fe 0.500 0.957 0.957
O 0.000 0.248 0.248
O 0.000 0.670 0.670
O 0.230 0.242 0.702
O 0.270 0.742 0.202
O 0.500 0.170 0.170
O 0.500 0.748 0.748
O 0.730 0.202 0.742
O 0.770 0.702 0.242

---

No. 6
For Al2FeO4, a DFT-relaxed cell (GGA+U, the Materials Project) gives the simulated powder XRD pattern in this record (Cu Kα).
Lines closer than 0.1° are merged.

The 10 most intense peaks (2θ = 10–80°), most intense first:
Position (°2θ)	I/Imax
36.29	100
30.57	71
63.63	51
35.79	49
30.85	34
64.28	25
57.44	21
54.69	21
58.40	20
58.53	20

Structure:
a b c (Å): 5.853 5.847 5.797
angles (deg): 60.36 60.25 59.40
Fractional coordinates of all 14 atoms:
Al 0.000 0.000 0.000
Al 0.000 0.000 0.500
Al 0.000 0.500 0.000
Al 0.500 0.000 0.000
Fe 0.375 0.375 0.375
Fe 0.625 0.625 0.625
O 0.204 0.762 0.767
O 0.232 0.233 0.238
O 0.233 0.232 0.796
O 0.238 0.796 0.232
O 0.762 0.204 0.768
O 0.767 0.768 0.204
O 0.768 0.767 0.762
O 0.796 0.238 0.233

---

No. 7
For TlV3Cd4O12, a DFT-relaxed cell (GGA+U, the Materials Project) gives the simulated powder XRD pattern in this record (Cu Kα).
Lines closer than 0.1° are merged.

The 10 most intense peaks (2θ = 10–80°), most intense first:
Position (°2θ)	I/Imax
29.93	100
31.88	65
29.73	59
27.75	57
32.02	41
47.13	27
56.83	27
19.61	27
30.75	25
27.36	22

Structure:
a b c (Å): 9.559 9.559 7.198
angles (deg): 107.12 107.12 92.07
Fractional coordinates of all 40 atoms:
Tl 0.022 0.978 0.500
Tl 0.978 0.022 0.000
V 0.127 0.351 0.888
V 0.295 0.702 0.499
V 0.351 0.127 0.388
V 0.647 0.871 0.112
V 0.702 0.295 0.999
V 0.871 0.647 0.612
Cd 0.062 0.378 0.393
Cd 0.261 0.735 0.997
Cd 0.378 0.062 0.893
Cd 0.511 0.520 0.222
Cd 0.520 0.511 0.722
Cd 0.618 0.938 0.606
Cd 0.735 0.261 0.497
Cd 0.938 0.618 0.106
O 0.005 0.668 0.850
O 0.038 0.397 0.071
O 0.176 0.177 0.877
O 0.177 0.176 0.377
O 0.178 0.730 0.279
O 0.267 0.818 0.719
O 0.284 0.483 0.959
O 0.284 0.525 0.521
O 0.330 0.992 0.149
O 0.397 0.038 0.571
O 0.476 0.713 0.479
O 0.483 0.284 0.459
O 0.518 0.707 0.042
O 0.525 0.284 0.021
O 0.599 0.958 0.927
O 0.668 0.005 0.350
O 0.707 0.518 0.542
O 0.713 0.476 0.979
O 0.730 0.178 0.779
O 0.818 0.267 0.219
O 0.819 0.820 0.120
O 0.820 0.819 0.620
O 0.958 0.599 0.427
O 0.992 0.330 0.649

---

No. 8
For NbFeF6, a DFT-relaxed cell (GGA+U, the Materials Project) gives the simulated powder XRD pattern in this record (Cu Kα).
Lines closer than 0.1° are merged.

The 10 most intense peaks (2θ = 10–80°), most intense first:
Position (°2θ)	I/Imax
22.41	100
50.59	24
45.73	21
31.22	20
52.40	15
32.56	12
37.74	10
57.26	9
72.80	8
58.10	7

Structure:
a b c (Å): 5.740 5.740 5.740
angles (deg): 57.25 57.25 57.25
Fractional coordinates of all 8 atoms:
Nb 0.000 0.000 0.000
Fe 0.500 0.500 0.500
F 0.158 0.756 0.333
F 0.244 0.667 0.842
F 0.333 0.158 0.756
F 0.667 0.842 0.244
F 0.756 0.333 0.158
F 0.842 0.244 0.667

---

No. 9
For MgWO4, a DFT-relaxed cell (GGA+U, the Materials Project) gives the simulated powder XRD pattern in this record (Cu Kα).
Lines closer than 0.1° are merged.

The 10 most intense peaks (2θ = 10–80°), most intense first:
Position (°2θ)	I/Imax
18.71	100
23.46	96
29.94	82
30.41	79
24.33	45
53.58	33
41.01	33
15.41	30
35.95	29
51.41	24

Structure:
a b c (Å): 4.742 5.752 5.044
angles (deg): 90.00 91.18 90.00
Fractional coordinates of all 12 atoms:
Mg 0.000 0.165 0.250
Mg 0.000 0.835 0.750
W 0.500 0.325 0.750
W 0.500 0.675 0.250
O 0.241 0.124 0.600
O 0.241 0.876 0.100
O 0.284 0.391 0.067
O 0.284 0.609 0.567
O 0.716 0.391 0.433
O 0.716 0.609 0.933
O 0.759 0.124 0.900
O 0.759 0.876 0.400

---

No. 10
For P5WO15, a DFT-relaxed cell (GGA+U, the Materials Project) gives the simulated powder XRD pattern in this record (Cu Kα).
Lines closer than 0.1° are merged.

The 10 most intense peaks (2θ = 10–80°), most intense first:
Position (°2θ)	I/Imax
10.34	100
16.33	77
25.31	55
12.60	51
21.96	50
20.77	48
21.25	48
17.04	34
30.71	30
31.22	24

Structure:
a b c (Å): 5.333 14.048 8.766
angles (deg): 90.00 102.66 90.00
Fractional coordinates of all 42 atoms:
P 0.013 0.142 0.023
P 0.013 0.358 0.023
P 0.360 0.085 0.333
P 0.360 0.415 0.333
P 0.457 0.750 0.468
P 0.543 0.250 0.532
P 0.640 0.585 0.667
P 0.640 0.915 0.667
P 0.987 0.642 0.977
P 0.987 0.858 0.977
W 0.500 0.000 0.000
W 0.500 0.500 0.000
O 0.036 0.250 0.970
O 0.128 0.143 0.204
O 0.128 0.357 0.204
O 0.178 0.083 0.939
O 0.178 0.417 0.939
O 0.207 0.750 0.357
O 0.237 0.022 0.427
O 0.237 0.478 0.427
O 0.270 0.616 0.014
O 0.270 0.884 0.014
O 0.282 0.250 0.560
O 0.441 0.664 0.606
O 0.441 0.836 0.606
O 0.492 0.030 0.210
O 0.492 0.470 0.210
O 0.508 0.530 0.790
O 0.508 0.970 0.790
O 0.559 0.164 0.394
O 0.559 0.336 0.394
O 0.718 0.750 0.440
O 0.730 0.116 0.986
O 0.730 0.384 0.986
O 0.763 0.522 0.573
O 0.763 0.978 0.573
O 0.793 0.250 0.643
O 0.822 0.583 0.061
O 0.822 0.917 0.061
O 0.872 0.643 0.796
O 0.872 0.857 0.796
O 0.964 0.750 0.030